Record 1
# TlCdPb
Computed PXRD pattern, Cu Ka. Input: a structure optimized by DFT (PBE).
Intensities are scaled so that the largest is 100.

Most intense lines, 10 to 90 degrees two-theta, by intensity:
| two_theta | d_spacing | Rel. int. |
| --- | --- | --- |
| 32.30 | 2.771 | 100 |
| 36.78 | 2.443 | 91 |
| 28.62 | 3.119 | 63 |
| 32.01 | 2.796 | 56 |
| 43.47 | 2.082 | 42 |
| 65.90 | 1.417 | 26 |
| 60.21 | 1.537 | 22 |
| 57.24 | 1.609 | 20 |
| 65.52 | 1.425 | 19 |
| 55.49 | 1.656 | 15 |
| 49.82 | 1.830 | 15 |
| 84.02 | 1.152 | 15 |

Cell and atoms:
```
TlCdPb
1.0
3.299 0.000 0.000
0.000 5.592 0.000
0.000 0.000 9.572
Tl Cd Pb
2 2 2
Cartesian
0.825 1.398 0.673
2.474 4.194 8.900
0.825 1.398 4.109
2.474 4.194 5.464
0.825 4.194 2.586
2.474 1.398 6.986
```

Record 2
# Cs3Ag2HgF9
Computed PXRD pattern, Cu Ka. Input: a structure optimized by DFT (PBE).
Intensities are scaled so that the largest is 100.

Most intense lines, 10 to 90 degrees two-theta, by intensity:
| two_theta | d_spacing | Rel. int. |
| --- | --- | --- |
| 27.69 | 3.221 | 100 |
| 48.97 | 1.860 | 42 |
| 39.56 | 2.278 | 33 |
| 57.19 | 1.611 | 21 |
| 64.70 | 1.441 | 19 |
| 78.55 | 1.218 | 16 |
| 71.77 | 1.315 | 7 |
| 78.60 | 1.217 | 5 |
| 19.48 | 4.556 | 4 |
| 85.20 | 1.139 | 3 |
| 15.89 | 5.577 | 2 |
| 34.09 | 2.630 | 2 |

Cell and atoms:
```
Cs3Ag2HgF9
1.0
6.440 0.000 0.000
-3.220 5.577 0.000
0.000 0.000 7.898
Cs Ag Hg F
3 2 1 9
Cartesian
0.000 0.000 0.000
0.000 3.718 5.269
3.220 1.859 2.629
0.000 3.718 1.264
3.220 1.859 6.633
0.000 0.000 3.949
-1.610 2.789 0.000
0.000 1.880 2.597
-1.592 4.637 2.597
1.628 0.940 5.301
3.220 0.000 0.000
1.610 2.789 0.000
1.592 4.637 2.597
4.812 0.940 5.301
3.220 3.697 5.301
```

Record 3
# CsRbTlSb
Computed PXRD pattern, Cu Ka. Input: a structure optimized by DFT (PBE).
Intensities are scaled so that the largest is 100.

Most intense lines, 10 to 90 degrees two-theta, by intensity:
| two_theta | d_spacing | Rel. int. |
| --- | --- | --- |
| 27.83 | 3.206 | 100 |
| 27.93 | 3.195 | 32 |
| 15.72 | 5.638 | 25 |
| 49.35 | 1.847 | 21 |
| 26.32 | 3.386 | 17 |
| 29.30 | 3.048 | 15 |
| 47.94 | 1.898 | 14 |
| 38.15 | 2.359 | 14 |
| 51.46 | 1.776 | 14 |
| 42.31 | 2.136 | 12 |
| 40.92 | 2.205 | 12 |
| 62.80 | 1.480 | 10 |

Cell and atoms:
```
CsRbTlSb
1.0
6.785 -2.359 0.000
6.785 2.359 0.000
-3.002 0.000 5.641
Cs Rb Tl Sb
1 1 1 1
Cartesian
0.000 0.000 0.000
0.477 0.000 3.871
9.657 0.000 1.530
4.554 0.000 2.436
```

Record 4
# Nb2V2Te7
Computed PXRD pattern, Cu Ka. Input: a structure optimized by DFT (PBE).
Intensities are scaled so that the largest is 100.

Most intense lines, 10 to 90 degrees two-theta, by intensity:
| two_theta | d_spacing | Rel. int. |
| --- | --- | --- |
| 19.65 | 4.518 | 100 |
| 28.08 | 3.178 | 99 |
| 36.74 | 2.446 | 92 |
| 34.89 | 2.572 | 79 |
| 26.66 | 3.344 | 77 |
| 13.24 | 6.688 | 76 |
| 36.48 | 2.463 | 71 |
| 34.42 | 2.605 | 70 |
| 18.74 | 4.735 | 66 |
| 40.46 | 2.229 | 61 |
| 29.46 | 3.032 | 59 |
| 39.68 | 2.272 | 51 |

Cell and atoms:
```
Nb2V2Te7
1.0
4.010 -6.062 0.000
4.010 6.062 0.000
-0.089 0.000 6.778
Nb V Te
2 2 7
Cartesian
4.010 4.408 0.000
4.010 -4.408 0.000
1.709 0.000 4.624
6.222 0.000 2.153
2.132 2.503 5.263
0.935 0.000 1.978
2.132 -2.503 5.263
3.965 0.000 3.389
5.798 2.503 1.515
6.996 0.000 4.800
5.798 -2.503 1.515
```

Record 5
# TbNd4Er2Tm2
Computed PXRD pattern, Cu Ka. Input: a structure optimized by DFT (PBE).
Intensities are scaled so that the largest is 100.

Most intense lines, 10 to 90 degrees two-theta, by intensity:
| two_theta | d_spacing | Rel. int. |
| --- | --- | --- |
| 30.54 | 2.927 | 100 |
| 35.37 | 2.538 | 34 |
| 50.97 | 1.792 | 30 |
| 60.50 | 1.530 | 22 |
| 35.48 | 2.530 | 17 |
| 83.06 | 1.163 | 15 |
| 60.61 | 1.528 | 14 |
| 85.65 | 1.134 | 8 |
| 60.68 | 1.526 | 7 |
| 63.51 | 1.465 | 6 |
| 63.62 | 1.463 | 6 |
| 50.82 | 1.797 | 6 |

Cell and atoms:
```
TbNd4Er2Tm2
1.0
7.615 -2.530 0.000
7.615 2.530 0.000
-2.520 0.000 7.612
Tb Nd Er Tm
1 4 2 2
Cartesian
0.000 0.000 0.000
2.561 0.000 2.524
5.111 0.000 5.098
7.600 0.000 2.514
10.150 0.000 5.087
0.010 0.000 5.097
12.700 0.000 2.515
5.058 0.000 0.002
7.652 0.000 7.610
```

Record 6
# Ac2NdY7
Computed PXRD pattern, Cu Ka. Input: a structure optimized by DFT (PBE).
Intensities are scaled so that the largest is 100.

Most intense lines, 10 to 90 degrees two-theta, by intensity:
| two_theta | d_spacing | Rel. int. |
| --- | --- | --- |
| 30.15 | 2.964 | 100 |
| 30.29 | 2.950 | 75 |
| 31.18 | 2.869 | 58 |
| 32.84 | 2.727 | 50 |
| 32.38 | 2.765 | 39 |
| 29.69 | 3.009 | 37 |
| 51.91 | 1.761 | 28 |
| 29.86 | 2.992 | 26 |
| 24.75 | 3.597 | 25 |
| 20.98 | 4.235 | 24 |
| 41.21 | 2.191 | 19 |
| 20.26 | 4.383 | 18 |

Cell and atoms:
```
Ac2NdY7
1.0
5.865 0.000 0.000
-1.644 8.250 0.000
-1.687 -3.693 7.490
Ac Nd Y
2 1 7
Cartesian
-0.255 0.980 1.673
2.789 3.576 5.816
-0.822 4.125 0.000
-0.844 -1.847 3.745
-0.075 1.249 5.446
-0.055 4.304 3.574
1.219 -2.146 6.538
1.315 6.702 0.952
2.589 0.252 3.916
2.609 3.308 2.043
```

Record 7
# Al2SbCl
Computed PXRD pattern, Cu Ka. Input: a structure optimized by DFT (PBE).
Intensities are scaled so that the largest is 100.

Most intense lines, 10 to 90 degrees two-theta, by intensity:
| two_theta | d_spacing | Rel. int. |
| --- | --- | --- |
| 32.65 | 2.743 | 100 |
| 18.41 | 4.819 | 73 |
| 37.34 | 2.408 | 48 |
| 33.99 | 2.638 | 47 |
| 46.16 | 1.967 | 43 |
| 30.31 | 2.949 | 42 |
| 30.79 | 2.904 | 32 |
| 53.55 | 1.711 | 32 |
| 39.31 | 2.292 | 26 |
| 74.08 | 1.280 | 20 |
| 43.74 | 2.070 | 20 |
| 57.11 | 1.613 | 20 |

Cell and atoms:
```
Al2SbCl
1.0
1.711 0.988 9.638
-1.711 0.988 9.638
0.000 -1.976 9.638
Al Sb Cl
2 1 1
Cartesian
0.000 0.000 0.000
0.000 0.000 7.787
0.000 0.000 21.343
0.000 0.000 15.827
```

Record 8
# NdTlPb2S4
Computed PXRD pattern, Cu Ka. Input: a structure optimized by DFT (PBE).
Intensities are scaled so that the largest is 100.

Most intense lines, 10 to 90 degrees two-theta, by intensity:
| two_theta | d_spacing | Rel. int. |
| --- | --- | --- |
| 25.79 | 3.454 | 100 |
| 29.62 | 3.016 | 99 |
| 29.89 | 2.989 | 48 |
| 42.21 | 2.141 | 37 |
| 42.95 | 2.106 | 36 |
| 25.24 | 3.529 | 36 |
| 53.02 | 1.727 | 29 |
| 50.28 | 1.815 | 24 |
| 50.60 | 1.804 | 23 |
| 42.05 | 2.149 | 19 |
| 42.70 | 2.117 | 18 |
| 69.28 | 1.356 | 17 |

Cell and atoms:
```
NdTlPb2S4
1.0
7.283 0.000 0.000
0.000 4.235 0.000
-2.373 0.000 7.057
Nd Tl Pb S
1 1 2 4
Cartesian
0.000 0.000 0.000
-1.187 2.117 3.529
2.455 0.000 3.529
3.641 2.117 0.000
1.200 2.117 1.618
-0.001 0.000 5.458
4.910 0.000 1.599
3.709 2.117 5.439
```

Record 9
# Ac2ThAgTe5
Computed PXRD pattern, Cu Ka. Input: a structure optimized by DFT (PBE).
Intensities are scaled so that the largest is 100.

Most intense lines, 10 to 90 degrees two-theta, by intensity:
| two_theta | d_spacing | Rel. int. |
| --- | --- | --- |
| 28.10 | 3.176 | 100 |
| 32.88 | 2.724 | 46 |
| 39.54 | 2.279 | 21 |
| 21.55 | 4.123 | 13 |
| 49.21 | 1.852 | 13 |
| 36.12 | 2.487 | 11 |
| 67.54 | 1.387 | 10 |
| 43.23 | 2.093 | 9 |
| 39.09 | 2.304 | 9 |
| 23.92 | 3.721 | 8 |
| 57.20 | 1.610 | 7 |
| 30.08 | 2.971 | 7 |

Cell and atoms:
```
Ac2ThAgTe5
1.0
2.279 -9.793 0.000
2.279 9.793 0.000
0.000 0.000 13.636
Ac Th Ag Te
4 2 2 10
Cartesian
2.279 7.563 6.818
2.279 7.359 1.634
2.279 -7.359 8.452
2.279 -7.563 0.000
2.279 6.021 11.180
2.279 -6.021 4.362
2.279 1.280 3.534
2.279 -1.280 10.352
2.279 8.986 11.866
2.279 4.082 6.560
2.279 3.792 2.116
2.279 2.822 11.086
2.279 0.055 7.894
2.279 -0.055 1.076
2.279 -2.822 4.268
2.279 -3.792 8.934
2.279 -4.082 13.378
2.279 -8.986 5.048
```

Record 10
# YIn2Si2Au7
Computed PXRD pattern, Cu Ka. Input: a structure optimized by DFT (PBE).
Intensities are scaled so that the largest is 100.

Most intense lines, 10 to 90 degrees two-theta, by intensity:
| two_theta | d_spacing | Rel. int. |
| --- | --- | --- |
| 40.36 | 2.235 | 100 |
| 33.35 | 2.687 | 85 |
| 33.18 | 2.700 | 84 |
| 29.24 | 3.054 | 64 |
| 36.84 | 2.440 | 54 |
| 35.52 | 2.527 | 46 |
| 26.51 | 3.363 | 38 |
| 51.12 | 1.787 | 35 |
| 40.85 | 2.209 | 31 |
| 52.47 | 1.744 | 29 |
| 24.16 | 3.684 | 29 |
| 49.46 | 1.843 | 27 |

Cell and atoms:
```
YIn2Si2Au7
1.0
2.990 -3.488 0.000
2.990 3.488 0.000
-0.028 0.000 12.636
Y In Si Au
1 2 2 7
Cartesian
0.000 0.000 0.000
0.866 0.000 4.701
5.085 0.000 7.934
2.108 0.000 9.718
3.842 0.000 2.918
1.825 1.436 2.134
1.976 0.000 7.310
4.125 1.436 10.502
2.990 0.000 0.000
1.825 -1.436 2.134
3.974 0.000 5.325
4.125 -1.436 10.502
```

Record 11
# Rb2InH5
Computed PXRD pattern, Cu Ka. Input: a structure optimized by DFT (PBE).
Intensities are scaled so that the largest is 100.

Most intense lines, 10 to 90 degrees two-theta, by intensity:
| two_theta | d_spacing | Rel. int. |
| --- | --- | --- |
| 30.12 | 2.967 | 100 |
| 17.91 | 4.952 | 62 |
| 28.08 | 3.178 | 60 |
| 50.98 | 1.791 | 44 |
| 33.50 | 2.675 | 25 |
| 40.13 | 2.247 | 24 |
| 54.72 | 1.678 | 17 |
| 80.86 | 1.189 | 12 |
| 62.62 | 1.484 | 11 |
| 65.70 | 1.421 | 11 |
| 66.78 | 1.401 | 10 |
| 83.87 | 1.154 | 10 |

Cell and atoms:
```
Rb2InH5
1.0
-3.178 3.178 3.950
3.178 -3.178 3.950
3.178 3.178 -3.950
Rb In H
2 1 5
Cartesian
3.178 0.000 0.000
0.000 3.178 0.000
0.000 0.000 2.181
1.854 1.854 -2.187
1.324 -1.324 1.763
-1.324 1.324 1.763
1.324 1.324 1.763
0.000 0.000 3.975
```

Record 12
# Tb12PmEr7
Computed PXRD pattern, Cu Ka. Input: a structure optimized by DFT (PBE).
Intensities are scaled so that the largest is 100.

Most intense lines, 10 to 90 degrees two-theta, by intensity:
| two_theta | d_spacing | Rel. int. |
| --- | --- | --- |
| 31.92 | 2.804 | 100 |
| 29.79 | 3.000 | 63 |
| 30.76 | 2.907 | 42 |
| 39.41 | 2.286 | 32 |
| 42.32 | 2.136 | 24 |
| 27.33 | 3.263 | 20 |
| 55.57 | 1.654 | 15 |
| 51.48 | 1.775 | 15 |
| 24.02 | 3.704 | 14 |
| 59.38 | 1.557 | 14 |
| 47.57 | 1.911 | 12 |
| 60.62 | 1.528 | 10 |

Cell and atoms:
```
Tb12PmEr7
1.0
6.400 3.695 4.552
-6.400 3.695 4.552
0.000 -7.390 4.552
Tb Pm Er
12 1 7
Cartesian
-2.107 -0.754 4.696
-0.837 -3.663 5.729
-3.591 -1.107 7.928
-2.754 2.556 5.729
1.706 -1.448 4.696
0.400 2.201 4.696
-0.400 -2.201 8.960
-1.706 1.448 8.960
2.754 -2.556 7.928
3.591 1.107 5.729
0.837 3.663 7.928
2.107 0.754 8.960
0.000 0.000 0.000
-2.142 0.756 2.023
0.416 -2.234 2.023
1.726 1.477 2.023
0.000 0.000 6.828
-1.726 -1.477 11.634
-0.416 2.234 11.634
2.142 -0.756 11.634
```